For CsZn4Sb3O12, DFT lattice parameters and positions (PBE) gives the calculated powder diffraction line list in this record (a wavelength of 1.5418 Å).

Largest 6 diffraction maxima, low angle first, 2θ from 10° to 80°:
2θ/deg	I_rel	h k l
26.61	43	2 1 1
30.53	100	2 0 2
30.96	49	2 2 0
34.63	36	1 3 1
53.99	20	0 2 4
57.52	26	5 2 0

Structural model:
Cell lengths 11.5536, 11.5536, 7.2221 Å; angles 90.00, 90.00, 120.00 degrees
Space group R32 (No. 155, hexagonal axes)
Asymmetric unit:
Cs 0.0000 0.0000 0.0000 [3 per cell]
Zn 0.0000 0.0000 0.5000 [3 per cell]
Zn 0.0000 0.4379 0.5000 [9 per cell]
Sb 0.0000 0.5585 0.0000 [9 per cell]
O 0.0000 0.6087 0.5000 [9 per cell]
O 0.0000 0.8342 0.5000 [9 per cell]
O 0.0747 0.2523 0.1643 [18 per cell]

=====

For Cs3ScO3, DFT lattice parameters and positions (PBE) gives the calculated powder diffraction line list in this record (a wavelength of 1.5418 Å).

Largest 6 diffraction maxima, low angle first, 2θ from 10° to 80°:
2θ/deg	I_rel	h k l
22.92	16	1 3 -1
27.71	39	0 1 2
28.12	100	1 4 -1
28.43	17	2 1 -2
28.82	29	1 3 1
36.68	15	3 2 -1

Structural model:
Cell lengths 7.8372, 14.6017, 7.3536 Å; angles 90.00, 116.08, 90.00 degrees
Space group P2_1/c (No. 14)
Asymmetric unit:
Cs 0.0199 0.1813 0.4138 [4 per cell]
Cs 0.2282 0.0412 0.9882 [4 per cell]
Cs 0.4381 0.7013 0.6517 [4 per cell]
Sc 0.3515 0.5591 0.0148 [4 per cell]
O 0.1549 0.6281 0.7877 [4 per cell]
O 0.3442 0.5962 0.2693 [4 per cell]
O 0.3834 0.0786 0.4735 [4 per cell]

=====

For Cs2ScU3O12, DFT lattice parameters and positions (PBE) gives the calculated powder diffraction line list in this record (a wavelength of 1.5418 Å).

Largest 6 diffraction maxima, low angle first, 2θ from 10° to 80°:
2θ/deg	I_rel	h k l
14.42	49	0 0 3
26.11	100	0 2 1
26.54	61	1 1 3
27.43	97	2 0 2
45.21	38	2 2 0
47.36	33	2 0 8

Structural model:
Cell lengths 8.0218, 8.0218, 18.4277 Å; angles 90.00, 90.00, 120.00 degrees
Space group R-3m (No. 166, hexagonal axes)
Asymmetric unit:
Cs 0.0000 0.0000 0.1249 [6 per cell]
Sc 0.0000 0.0000 0.5000 [3 per cell]
U 0.0000 0.5000 0.0000 [9 per cell]
O 0.0795 0.5397 0.3561 [18 per cell]
O 0.0811 0.5405 0.1024 [18 per cell]

=====

For CsY2ScO, DFT lattice parameters and positions (PBE) gives the calculated powder diffraction line list in this record (a wavelength of 1.5418 Å).

Largest 6 diffraction maxima, low angle first, 2θ from 10° to 80°:
2θ/deg	I_rel	h k l
26.36	36	1 0 1
26.56	100	2 0 0
29.58	86	1 1 1
37.77	27	2 1 1
37.91	38	2 2 0
48.80	42	3 1 1

Structural model:
Cell lengths 6.7129, 6.7129, 3.9139 Å; angles 90.00, 90.00, 90.00 degrees
Space group P4/mmm (No. 123)
Asymmetric unit:
Cs 0.0000 0.0000 0.0000 [1 per cell]
Y 0.0000 0.5000 0.5000 [2 per cell]
Sc 0.5000 0.5000 0.5000 [1 per cell]
O 0.5000 0.5000 0.0000 [1 per cell]

=====

For Cs3SeO6, DFT lattice parameters and positions (PBE) gives the calculated powder diffraction line list in this record (a wavelength of 1.5418 Å).

Largest 6 diffraction maxima, low angle first, 2θ from 10° to 80°:
2θ/deg	I_rel	h k l
26.46	100	1 1 1
37.77	27	4 0 0
46.71	37	6 0 -2
54.49	16	2 2 2
61.57	22	7 1 -1
74.54	22	5 3 1

Structural model:
Cell lengths 11.6676, 6.7366, 6.7363 Å; angles 90.00, 125.26, 90.00 degrees
Space group C2/m (No. 12)
Asymmetric unit:
Cs 0.0000 0.0000 0.0000 [2 per cell]
Cs 0.2500 0.0000 0.7500 [4 per cell]
Se 0.0000 0.5000 0.5000 [2 per cell]
O 0.0008 0.3119 0.6889 [8 per cell]
O 0.1881 0.5000 0.6864 [4 per cell]

=====

For CsSe2O, DFT lattice parameters and positions (PBE) gives the calculated powder diffraction line list in this record (a wavelength of 1.5418 Å).

Largest 6 diffraction maxima, low angle first, 2θ from 10° to 80°:
2θ/deg	I_rel	h k l
25.48	91	1 1 2
26.03	100	1 0 3
33.32	53	2 0 2
34.45	96	2 1 1
38.92	34	1 0 5
52.35	52	2 2 4

Structural model:
Cell lengths 5.9505, 5.9505, 12.5583 Å; angles 90.00, 90.00, 90.00 degrees
Space group I4_1/amd (No. 141, origin choice 2)
Asymmetric unit:
Cs 0.0000 0.2500 0.3750 [4 per cell]
Se 0.0000 0.0000 0.0000 [8 per cell]
O 0.0000 0.2500 0.8750 [4 per cell]